# 1
Structure and calculated powder XRD pattern of Dy4Ga12Tc (a DFT-relaxed cell (GGA-PBE, OQMD); Cu Ka).
Lines closer than 0.1° are merged.

Most intense lines, 10 to 90 degrees two-theta, low angle first:
29.28 deg, rel. 33
36.06 deg, rel. 100
41.88 deg, rel. 64
60.72 deg, rel. 38
72.70 deg, rel. 31
76.49 deg, rel. 12

Structural model:
a b c (Å): 7.4719 7.4719 7.4719
angles (deg): 109.47 109.47 109.47
Fractional coordinates of all 17 atoms:
1 Dy 0.0000 0.0000 0.5000
2 Dy 0.0000 0.5000 0.0000
3 Dy 0.5000 0.0000 0.0000
4 Dy 0.5000 0.5000 0.5000
5 Ga 0.0000 0.2912 0.2912
6 Ga 0.0000 0.7088 0.7088
7 Ga 0.2500 0.5000 0.7500
8 Ga 0.2500 0.7500 0.5000
9 Ga 0.2912 0.0000 0.2912
10 Ga 0.2912 0.2912 0.0000
11 Ga 0.5000 0.2500 0.7500
12 Ga 0.5000 0.7500 0.2500
13 Ga 0.7088 0.0000 0.7088
14 Ga 0.7088 0.7088 0.0000
15 Ga 0.7500 0.2500 0.5000
16 Ga 0.7500 0.5000 0.2500
17 Tc 0.0000 0.0000 0.0000

***

# 2
Structure and calculated powder XRD pattern of Zn2TeAsHO7 (a DFT-relaxed cell (GGA-PBE, OQMD); Cu Ka).
Lines closer than 0.1° are merged.

Most intense lines, 10 to 90 degrees two-theta, low angle first:
21.94 deg, rel. 62
25.25 deg, rel. 38
28.19 deg, rel. 100
33.34 deg, rel. 23
34.36 deg, rel. 23
35.36 deg, rel. 44

Structural model:
a b c (Å): 5.1550 5.1550 5.7008
angles (deg): 97.07 97.07 96.10
Fractional coordinates of all 12 atoms:
1 Zn 0.2373 0.7627 0.0000
2 Zn 0.7627 0.2373 0.0000
3 Te 0.2406 0.2406 0.6306
4 As 0.7727 0.7727 0.3374
5 H 0.6467 0.6467 0.7470
6 O 0.0462 0.4152 0.8522
7 O 0.4152 0.0462 0.8522
8 O 0.4495 0.8214 0.3255
9 O 0.5329 0.5329 0.8275
10 O 0.8214 0.4495 0.3255
11 O 0.9264 0.9264 0.1284
12 O 0.9304 0.9304 0.6150

***

Please write out number 1 again, unchanged.
Structure and calculated powder XRD pattern of Dy4Ga12Tc (a DFT-relaxed cell (GGA-PBE, OQMD); Cu Ka).
Lines closer than 0.1° are merged.

Most intense lines, 10 to 90 degrees two-theta, low angle first:
29.28 deg, rel. 33
36.06 deg, rel. 100
41.88 deg, rel. 64
60.72 deg, rel. 38
72.70 deg, rel. 31
76.49 deg, rel. 12

Structural model:
a b c (Å): 7.4719 7.4719 7.4719
angles (deg): 109.47 109.47 109.47
Fractional coordinates of all 17 atoms:
1 Dy 0.0000 0.0000 0.5000
2 Dy 0.0000 0.5000 0.0000
3 Dy 0.5000 0.0000 0.0000
4 Dy 0.5000 0.5000 0.5000
5 Ga 0.0000 0.2912 0.2912
6 Ga 0.0000 0.7088 0.7088
7 Ga 0.2500 0.5000 0.7500
8 Ga 0.2500 0.7500 0.5000
9 Ga 0.2912 0.0000 0.2912
10 Ga 0.2912 0.2912 0.0000
11 Ga 0.5000 0.2500 0.7500
12 Ga 0.5000 0.7500 0.2500
13 Ga 0.7088 0.0000 0.7088
14 Ga 0.7088 0.7088 0.0000
15 Ga 0.7500 0.2500 0.5000
16 Ga 0.7500 0.5000 0.2500
17 Tc 0.0000 0.0000 0.0000

***

Copy entry 2 word for word.
Structure and calculated powder XRD pattern of Zn2TeAsHO7 (a DFT-relaxed cell (GGA-PBE, OQMD); Cu Ka).
Lines closer than 0.1° are merged.

Most intense lines, 10 to 90 degrees two-theta, low angle first:
21.94 deg, rel. 62
25.25 deg, rel. 38
28.19 deg, rel. 100
33.34 deg, rel. 23
34.36 deg, rel. 23
35.36 deg, rel. 44

Structural model:
a b c (Å): 5.1550 5.1550 5.7008
angles (deg): 97.07 97.07 96.10
Fractional coordinates of all 12 atoms:
1 Zn 0.2373 0.7627 0.0000
2 Zn 0.7627 0.2373 0.0000
3 Te 0.2406 0.2406 0.6306
4 As 0.7727 0.7727 0.3374
5 H 0.6467 0.6467 0.7470
6 O 0.0462 0.4152 0.8522
7 O 0.4152 0.0462 0.8522
8 O 0.4495 0.8214 0.3255
9 O 0.5329 0.5329 0.8275
10 O 0.8214 0.4495 0.3255
11 O 0.9264 0.9264 0.1284
12 O 0.9304 0.9304 0.6150